(1)
# Nb10Ge7
Simulated powder XRD pattern, a wavelength of 1.5418 Å. Input: a crystal structure in the Materials Project, relaxed with PBE.
Neutral-atom scattering factors, no anomalous dispersion.

Peak list (10 most intense, 10 to 80 degrees two-theta, by intensity)
2θ 40.25, rel. 100.0, hkl 3 0 2
2θ 38.82, rel. 82.1, hkl 1 4 1
2θ 39.90, rel. 71.2, hkl 3 3 0
2θ 57.97, rel. 23.1, hkl 0 6 2
2θ 62.56, rel. 17.8, hkl 4 1 3
2θ 35.03, rel. 16.5, hkl 4 1 0
2θ 51.40, rel. 14.7, hkl 5 2 1
2θ 62.06, rel. 12.6, hkl 7 1 1
2θ 32.77, rel. 11.7, hkl 0 0 2
2θ 72.69, rel. 9.9, hkl 6 3 2

```
data_Nb10Ge7
_cell_length_a 13.5556
_cell_length_b 13.5556
_cell_length_c 5.4661
_cell_angle_alpha 90.00
_cell_angle_beta 90.00
_cell_angle_gamma 120.00
_space_group_name_H-M_alt 'P -3 m 1'
_space_group_IT_number 164
_space_group_name_Hall '-P 3 2"'
loop_
_atom_site_label
_atom_site_type_symbol
_atom_site_fract_x
_atom_site_fract_y
_atom_site_fract_z
Nb1 Nb 0.0000 0.3309 0.0000
Nb2 Nb 0.0000 0.3364 0.5000
Nb3 Nb 0.0874 0.1748 0.7286
Nb4 Nb 0.1593 0.5797 0.7733
Nb5 Nb 0.2456 0.4912 0.2323
Ge1 Ge 0.0000 0.0000 0.0000
Ge2 Ge 0.0731 0.5366 0.2462
Ge3 Ge 0.1301 0.2603 0.2527
Ge4 Ge 0.2030 0.4061 0.7466
Ge5 Ge 0.3333 0.6667 0.5005
```

---

(2)
# Ba2Eu2Ti2Cu2O11
Simulated powder XRD pattern, a wavelength of 1.5418 Å. Input: a crystal structure in the Materials Project, relaxed with PBE.
Neutral-atom scattering factors, no anomalous dispersion.

Peak list (10 most intense, 10 to 80 degrees two-theta, by intensity)
2θ 31.99, rel. 100.0, hkl 1 0 4
2θ 32.26, rel. 47.4, hkl 1 1 0
2θ 57.35, rel. 37.4, hkl 2 1 4
2θ 46.27, rel. 31.0, hkl 2 0 0
2θ 39.56, rel. 26.9, hkl 1 1 4
2θ 56.85, rel. 17.2, hkl 1 1 8
2θ 22.66, rel. 16.8, hkl 1 0 0
2θ 66.89, rel. 13.7, hkl 2 0 8
2θ 45.48, rel. 11.6, hkl 0 0 8
2θ 67.50, rel. 9.2, hkl 2 2 0

```
data_Ba2Eu2Ti2Cu2O11
_cell_length_a 3.9246
_cell_length_b 3.9246
_cell_length_c 15.9544
_cell_angle_alpha 90.00
_cell_angle_beta 90.00
_cell_angle_gamma 90.00
_space_group_name_H-M_alt 'P 4/m m m'
_space_group_IT_number 123
_space_group_name_Hall '-P 4 2'
loop_
_atom_site_label
_atom_site_type_symbol
_atom_site_fract_x
_atom_site_fract_y
_atom_site_fract_z
Ba1 Ba 0.0000 0.0000 0.2376
Eu1 Eu 0.0000 0.0000 0.0000
Eu2 Eu 0.0000 0.0000 0.5000
Ti1 Ti 0.5000 0.5000 0.3754
Cu1 Cu 0.5000 0.5000 0.1096
O1 O 0.0000 0.5000 0.0957
O2 O 0.0000 0.5000 0.3855
O3 O 0.5000 0.5000 0.2569
O4 O 0.5000 0.5000 0.5000
```

---

(3)
# Dy2Al2Fe15
Simulated powder XRD pattern, a wavelength of 1.5418 Å. Input: a crystal structure in the Materials Project, relaxed with PBE.
Neutral-atom scattering factors, no anomalous dispersion.

Peak list (10 most intense, 10 to 80 degrees two-theta, by intensity)
2θ 43.17, rel. 100.0, hkl 3 0 2
2θ 30.13, rel. 28.6, hkl 1 1 2
2θ 43.06, rel. 24.3, hkl 0 0 4
2θ 62.66, rel. 23.3, hkl 2 2 4
2θ 37.18, rel. 22.1, hkl 3 0 0
2θ 34.38, rel. 12.3, hkl 2 1 1
2θ 79.00, rel. 12.2, hkl 3 0 6
2θ 71.15, rel. 12.0, hkl 3 3 2
2θ 40.70, rel. 11.9, hkl 2 0 3
2θ 48.57, rel. 10.6, hkl 2 2 2

```
data_Dy2Al2Fe15
_cell_length_a 8.3781
_cell_length_b 8.3781
_cell_length_c 8.4030
_cell_angle_alpha 90.00
_cell_angle_beta 90.00
_cell_angle_gamma 120.00
_space_group_name_H-M_alt 'P 63/m m c'
_space_group_IT_number 194
_space_group_name_Hall '-P 6c 2c'
loop_
_atom_site_label
_atom_site_type_symbol
_atom_site_fract_x
_atom_site_fract_y
_atom_site_fract_z
Dy1 Dy 0.0000 0.0000 0.2500
Dy2 Dy 0.3333 0.6667 0.2500
Al1 Al 0.3333 0.6667 0.6007
Fe1 Fe 0.0000 0.5000 0.0000
Fe2 Fe 0.0323 0.3637 0.7500
Fe3 Fe 0.1654 0.3308 0.0098
```